Starting from a crystal structure in Alexandria, relaxed with PBE, the powder diffractogram of Fe6Ni5Pd was computed for Cu Kα (λ = 1.5418 Å).

Crystal structure
Unit cell a=3.585 b=10.804 c=7.279 alpha=90.00 beta=90.00 gamma=90.00
Space group Cmmm (No. 65)
One atom of each set of equivalent atoms:
Fe: 0.000 0.000 0.240 [4 per cell]
Fe: 0.000 0.330 0.245 [8 per cell]
Ni: 0.000 0.167 0.000 [4 per cell]
Ni: 0.000 0.171 0.500 [4 per cell]
Ni: 0.000 0.500 0.000 [2 per cell]
Pd: 0.000 0.500 0.500 [2 per cell]

Top 10 peaks for 10° ≤ 2θ ≤ 90°, sorted by position:
2theta, Rel. int., hkl
24.5, 1, 0 0 2
29.0, 1, 1 1 1
43.4, 100, 1 3 2
50.1, 16, 0 0 4
50.7, 15, 0 6 0
50.9, 15, 2 0 0
74.1, 9, 0 6 4
74.3, 9, 2 0 4
74.7, 9, 2 6 0
89.5, 11, 1 3 6